For Y4FeBi, a structure optimized by DFT (GGA-PBE) gives the simulated powder X-ray diffraction pattern in this record (Cu Kα (weighted mean of Kα1 and Kα2)).
Kinematic intensities with the Lorentz-polarization factor, no thermal factor.

Largest 6 diffraction maxima, in order of rising 2θ, 2θ from 10° to 80°:
- (1 1 -1), 16.7°, I 39.1
- (1 1 -2), 30.1°, I 90.5
- (3 1 -1), 31.1°, I 95.8
- (2 2 1), 34.1°, I 100.0
- (1 3 -2), 35.7°, I 44.7
- (3 3 -1), 36.6°, I 33.3

```
data_Y4FeBi
_cell_length_a 8.912
_cell_length_b 13.333
_cell_length_c 6.095
_cell_angle_alpha 90.00
_cell_angle_beta 112.06
_cell_angle_gamma 90.00
_space_group_name_H-M_alt 'C 1 2/c 1'
_space_group_IT_number 15
loop_
_space_group_symop_operation_xyz
'x,y,z'
'-x,-y,-z'
'-x,y,-z+1/2'
'x,-y,z+1/2'
'x+1/2,y+1/2,z'
'-x+1/2,-y+1/2,-z'
'-x+1/2,y+1/2,-z+1/2'
'x+1/2,-y+1/2,z+1/2'
loop_
_atom_site_label
_atom_site_type_symbol
_atom_site_fract_x
_atom_site_fract_y
_atom_site_fract_z
Y1 Y 0.106 0.162 0.061
Y2 Y 0.224 0.428 0.359
Fe1 Fe 0.000 0.000 0.250
Bi1 Bi 0.000 0.372 0.750
```

For Tb2PrY3, a structure optimized by DFT (GGA-PBE) gives the simulated powder X-ray diffraction pattern in this record (Cu Kα (weighted mean of Kα1 and Kα2)).
Kinematic intensities with the Lorentz-polarization factor, no thermal factor.

Largest 6 diffraction maxima, in order of rising 2θ, 2θ from 10° to 80°:
- (2 -1 1), 30.5°, I 100.0
- (1 1 2), 35.3°, I 50.4
- (3 1 0), 50.8°, I 35.5
- (3 0 3), 60.4°, I 21.0
- (2 3 1), 60.5°, I 20.9
- (4 -2 2), 63.4°, I 12.0

```
data_Tb2PrY3
_cell_length_a 6.227
_cell_length_b 8.024
_cell_length_c 8.795
_cell_angle_alpha 111.37
_cell_angle_beta 90.09
_cell_angle_gamma 104.96
_space_group_name_H-M_alt 'P -1'
_space_group_IT_number 2
loop_
_space_group_symop_operation_xyz
'x,y,z'
'-x,-y,-z'
loop_
_atom_site_label
_atom_site_type_symbol
_atom_site_fract_x
_atom_site_fract_y
_atom_site_fract_z
Tb1 Tb 0.125 0.123 0.374
Tb2 Tb 0.375 0.375 0.123
Pr1 Pr 0.293 0.626 0.542
Y1 Y 0.042 0.374 0.793
Y2 Y 0.208 0.876 0.960
Y3 Y 0.457 0.126 0.710
```

For PmMgP, a structure optimized by DFT (GGA-PBE) gives the simulated powder X-ray diffraction pattern in this record (Cu Kα (weighted mean of Kα1 and Kα2)).
Kinematic intensities with the Lorentz-polarization factor, no thermal factor.

Largest 6 diffraction maxima, in order of rising 2θ, 2θ from 10° to 80°:
- (0 0 3), 10.6°, I 32.5
- (1 0 1), 21.2°, I 100.0
- (1 0 4), 25.3°, I 55.7
- (0 1 5), 27.5°, I 69.4
- (1 1 0), 36.7°, I 69.2
- (1 1 9), 49.5°, I 49.3

```
data_PmMgP
_cell_length_a 4.9004
_cell_length_b 4.9004
_cell_length_c 25.1503
_cell_angle_alpha 90.00
_cell_angle_beta 90.00
_cell_angle_gamma 120.00
_space_group_name_H-M_alt 'R -3 m'
_space_group_IT_number 166
_space_group_name_Hall '-R 3 2"'
loop_
_atom_site_label
_atom_site_type_symbol
_atom_site_fract_x
_atom_site_fract_y
_atom_site_fract_z
Pm1 Pm 0.0000 0.0000 0.1062
Mg1 Mg 0.0000 0.0000 0.3178
P1 P 0.0000 0.0000 0.2174
```

For CdAg, a structure optimized by DFT (GGA-PBE) gives the simulated powder X-ray diffraction pattern in this record (Cu Kα (weighted mean of Kα1 and Kα2)).
Kinematic intensities with the Lorentz-polarization factor, no thermal factor.

Largest 6 diffraction maxima, in order of rising 2θ, 2θ from 10° to 80°:
- (0 1 2), 36.1°, I 100.0
- (0 0 6), 37.3°, I 30.3
- (1 0 4), 42.3°, I 63.3
- (1 1 0), 60.5°, I 20.8
- (0 1 8), 62.2°, I 19.1
- (1 1 6), 73.3°, I 23.1

```
data_CdAg
_cell_length_a 3.0592
_cell_length_b 3.0592
_cell_length_c 14.4485
_cell_angle_alpha 90.00
_cell_angle_beta 90.00
_cell_angle_gamma 120.00
_space_group_name_H-M_alt 'R -3 m'
_space_group_IT_number 166
_space_group_name_Hall '-R 3 2"'
loop_
_atom_site_label
_atom_site_type_symbol
_atom_site_fract_x
_atom_site_fract_y
_atom_site_fract_z
Cd1 Cd 0.0000 0.0000 0.0000
Ag1 Ag 0.0000 0.0000 0.5000
```